(1)
Simulated powder diffraction line list of Pr4In21Pd10 for λ = 1.5418 Å (Cu Kα), from DFT lattice parameters and positions (GGA-PBE).
Neutral-atom scattering factors, no anomalous dispersion.

Principal peaks in the range 2θ = 5–70°, sorted by position:
2θ 32.7, I = 55, (5 1 -5); 2θ 33.1, I = 26, (7 1 -3); 2θ 33.5, I = 76, (5 1 1); 2θ 33.7, I = 40, (7 1 -2); 2θ 33.8, I = 41, (7 1 -4); 2θ 34.0, I = 70, (1 1 4); 2θ 39.6, I = 100, (0 2 0); 2θ 40.2, I = 38, (1 1 -6); 2θ 41.2, I = 26, (5 1 -7); 2θ 42.2, I = 60, (9 1 -6)

Lattice parameters (Å, degrees): 23.524 4.557 17.529 90.00 124.48 90.00
Space group C2/m (No. 12)
One atom of each set of equivalent atoms:
1 Pr 0.122 0.000 0.333 (multiplicity 4)
2 Pr 0.229 0.000 0.825 (multiplicity 4)
3 In 0.000 0.500 0.500 (multiplicity 2)
4 In 0.010 0.000 0.092 (multiplicity 4)
5 In 0.043 0.500 0.368 (multiplicity 4)
6 In 0.064 0.000 0.797 (multiplicity 4)
7 In 0.101 0.500 0.997 (multiplicity 4)
8 In 0.114 0.000 0.549 (multiplicity 4)
9 In 0.116 0.500 0.704 (multiplicity 4)
10 In 0.131 0.500 0.199 (multiplicity 4)
11 In 0.200 0.500 0.500 (multiplicity 4)
12 In 0.201 0.000 0.004 (multiplicity 4)
13 In 0.247 0.500 0.704 (multiplicity 4)
14 Pd 0.005 0.500 0.188 (multiplicity 4)
15 Pd 0.026 0.000 0.613 (multiplicity 4)
16 Pd 0.137 0.000 0.108 (multiplicity 4)
17 Pd 0.154 0.500 0.887 (multiplicity 4)
18 Pd 0.250 0.000 0.615 (multiplicity 4)

(2)
Simulated powder diffraction line list of MgCuP2O7 for λ = 1.5418 Å (Cu Kα), from DFT lattice parameters and positions (GGA-PBE).
Neutral-atom scattering factors, no anomalous dispersion.

Principal peaks in the range 2θ = 5–70°, sorted by position:
2θ 18.8, I = 12, (1 1 0); 2θ 20.7, I = 14, (1 0 -1); 2θ 29.3, I = 100, (1 0 -2); 2θ 29.8, I = 19, (0 2 0); 2θ 29.9, I = 18, (1 -1 1); 2θ 30.0, I = 28, (1 0 2); 2θ 34.8, I = 13, (2 0 0); 2θ 43.0, I = 14, (1 3 1); 2θ 43.3, I = 10, (2 0 2); 2θ 47.3, I = 8, (2 2 -2)

Lattice parameters (Å, degrees): 5.442 6.397 7.503 81.92 88.84 71.36
Space group P-1 (No. 2)
One atom of each set of equivalent atoms:
1 Mg 0.168 0.338 0.352 (multiplicity 2)
2 Cu 0.227 0.848 0.817 (multiplicity 2)
3 P 0.274 0.795 0.385 (multiplicity 2)
4 P 0.327 0.318 0.901 (multiplicity 2)
5 O 0.109 0.040 0.321 (multiplicity 2)
6 O 0.109 0.645 0.438 (multiplicity 2)
7 O 0.145 0.557 0.835 (multiplicity 2)
8 O 0.210 0.144 0.864 (multiplicity 2)
9 O 0.409 0.705 0.205 (multiplicity 2)
10 O 0.412 0.298 0.100 (multiplicity 2)
11 O 0.474 0.782 0.526 (multiplicity 2)

(3)
Simulated powder diffraction line list of La10Si8O3 for λ = 1.5418 Å (Cu Kα), from DFT lattice parameters and positions (GGA-PBE).
Neutral-atom scattering factors, no anomalous dispersion.

Principal peaks in the range 2θ = 5–70°, sorted by position:
2θ 24.8, I = 16, (2 1 0); 2θ 26.7, I = 24, (2 0 1); 2θ 31.4, I = 100, (2 1 1); 2θ 32.6, I = 22, (2 2 0); 2θ 37.9, I = 17, (4 0 0); 2θ 38.5, I = 19, (0 0 2); 2θ 51.4, I = 12, (2 2 2); 2θ 51.9, I = 13, (5 0 1); 2θ 53.8, I = 15, (3 3 1); 2θ 65.3, I = 12, (2 1 3)

Lattice parameters (Å, degrees): 10.9784 10.9784 4.6738 90.00 90.00 120.00
Space group P6/mmm (No. 191)
One atom of each set of equivalent atoms:
1 La 0.0000 0.0000 0.0000 (multiplicity 1)
2 La 0.0000 0.5000 0.5000 (multiplicity 3)
3 La 0.2100 0.4199 0.0000 (multiplicity 6)
4 Si 0.0000 0.2182 0.5000 (multiplicity 6)
5 Si 0.3333 0.6667 0.5000 (multiplicity 2)
6 O 0.0000 0.5000 0.0000 (multiplicity 3)

(4)
Simulated powder diffraction line list of Gd3SbO7 for λ = 1.5418 Å (Cu Kα), from DFT lattice parameters and positions (GGA-PBE).
Neutral-atom scattering factors, no anomalous dispersion.

Principal peaks in the range 2θ = 5–70°, sorted by position:
2θ 28.8, I = 98, (0 2 2); 2θ 28.9, I = 100, (2 2 0); 2θ 33.4, I = 68, (2 0 2); 2θ 47.8, I = 17, (0 0 4); 2θ 48.0, I = 58, (2 4 2); 2θ 48.2, I = 14, (4 0 0); 2θ 56.8, I = 30, (2 2 4); 2θ 57.0, I = 24, (0 6 2); 2θ 57.1, I = 27, (4 2 2); 2θ 59.9, I = 10, (4 4 0)

Lattice parameters (Å, degrees): 7.559 10.721 7.612 90.00 90.00 90.00
Space group Cmcm (No. 63)
One atom of each set of equivalent atoms:
1 Gd 0.000 0.000 0.000 (multiplicity 4)
2 Gd 0.235 0.266 0.250 (multiplicity 8)
3 Sb 0.000 0.500 0.000 (multiplicity 4)
4 O 0.000 0.128 0.750 (multiplicity 4)
5 O 0.000 0.138 0.250 (multiplicity 4)
6 O 0.000 0.433 0.250 (multiplicity 4)
7 O 0.195 0.376 0.529 (multiplicity 16)

(5)
Simulated powder diffraction line list of Gd2PdRu for λ = 1.5418 Å (Cu Kα), from DFT lattice parameters and positions (GGA-PBE).
Neutral-atom scattering factors, no anomalous dispersion.

Principal peaks in the range 2θ = 5–70°, sorted by position:
2θ 25.5, I = 4, (2 0 0); 2θ 36.4, I = 100, (2 2 0); 2θ 45.0, I = 1, (2 2 2); 2θ 52.5, I = 17, (4 0 0); 2θ 59.2, I = 2, (4 2 0); 2θ 65.5, I = 35, (4 2 2)

Lattice parameters (Å, degrees): 6.977 6.977 6.977 90.00 90.00 90.00
Space group Fm-3m (No. 225)
One atom of each set of equivalent atoms:
1 Gd 0.250 0.250 0.250 (multiplicity 8)
2 Pd 0.000 0.000 0.000 (multiplicity 4)
3 Ru 0.000 0.000 0.500 (multiplicity 4)

(6)
Simulated powder diffraction line list of Cs2Sb2Pd for λ = 1.5418 Å (Cu Kα), from DFT lattice parameters and positions (GGA-PBE).
Neutral-atom scattering factors, no anomalous dispersion.

Principal peaks in the range 2θ = 5–70°, sorted by position:
2θ 11.5, I = 26, (0 2 0); 2θ 12.6, I = 37, (1 1 0); 2θ 24.4, I = 100, (1 3 1); 2θ 25.9, I = 35, (0 0 2); 2θ 28.6, I = 77, (2 2 1); 2θ 33.3, I = 24, (1 3 2); 2θ 34.9, I = 27, (0 4 2); 2θ 43.7, I = 30, (3 1 2); 2θ 44.7, I = 33, (1 3 3); 2θ 45.4, I = 34, (3 5 0)

Lattice parameters (Å, degrees): 7.878 15.398 6.892 90.00 90.00 90.00
Space group Cmcm (No. 63)
One atom of each set of equivalent atoms:
1 Cs 0.000 0.089 0.250 (multiplicity 4)
2 Cs 0.000 0.298 0.750 (multiplicity 4)
3 Sb 0.178 0.400 0.250 (multiplicity 8)
4 Pd 0.000 0.500 0.000 (multiplicity 4)

(7)
Simulated powder diffraction line list of MgPt2 for λ = 1.5418 Å (Cu Kα), from DFT lattice parameters and positions (GGA-PBE).
Neutral-atom scattering factors, no anomalous dispersion.

Principal peaks in the range 2θ = 5–70°, sorted by position:
2θ 19.6, I = 23, (0 0 1); 2θ 20.9, I = 15, (1 0 0); 2θ 28.7, I = 14, (1 0 1); 2θ 36.5, I = 34, (1 1 0); 2θ 39.7, I = 24, (0 0 2); 2θ 41.8, I = 100, (1 1 1); 2θ 45.3, I = 4, (1 0 2); 2θ 55.1, I = 21, (1 1 2); 2θ 65.8, I = 17, (3 0 0); 2θ 69.3, I = 5, (3 0 1)

Lattice parameters (Å, degrees): 4.9189 4.9189 4.5373 90.00 90.00 120.00
Space group P-62m (No. 189)
One atom of each set of equivalent atoms:
1 Mg 0.3333 0.6667 0.0000 (multiplicity 2)
2 Pt 0.0000 0.0000 0.0000 (multiplicity 1)
3 Pt 0.0000 0.3334 0.5000 (multiplicity 3)

(8)
Simulated powder diffraction line list of DyMgAu for λ = 1.5418 Å (Cu Kα), from DFT lattice parameters and positions (GGA-PBE).
Neutral-atom scattering factors, no anomalous dispersion.

Principal peaks in the range 2θ = 5–70°, sorted by position:
2θ 23.2, I = 55, (1 1 0); 2θ 25.8, I = 28, (1 0 1); 2θ 32.2, I = 66, (1 1 1); 2θ 35.0, I = 100, (2 0 1); 2θ 40.7, I = 43, (3 0 0); 2θ 42.3, I = 39, (2 1 1); 2θ 44.9, I = 21, (0 0 2); 2θ 54.7, I = 17, (3 1 1); 2θ 62.2, I = 25, (3 0 2); 2θ 65.4, I = 28, (3 2 1)

Lattice parameters (Å, degrees): 7.6826 7.6826 4.0357 90.00 90.00 120.00
Space group P-62m (No. 189)
One atom of each set of equivalent atoms:
1 Dy 0.0000 0.5898 0.0000 (multiplicity 3)
2 Mg 0.0000 0.2490 0.5000 (multiplicity 3)
3 Au 0.0000 0.0000 0.0000 (multiplicity 1)
4 Au 0.3333 0.6667 0.5000 (multiplicity 2)

(9)
Simulated powder diffraction line list of CsAsSe2 for λ = 1.5418 Å (Cu Kα), from DFT lattice parameters and positions (GGA-PBE).
Neutral-atom scattering factors, no anomalous dispersion.

Principal peaks in the range 2θ = 5–70°, sorted by position:
2θ 23.5, I = 51, (0 2 3); 2θ 24.2, I = 100, (1 2 2); 2θ 26.0, I = 42, (1 1 4); 2θ 27.3, I = 30, (2 1 0); 2θ 27.8, I = 22, (2 1 1); 2θ 30.0, I = 33, (1 3 1); 2θ 31.3, I = 50, (0 0 6); 2θ 31.6, I = 22, (2 1 3); 2θ 31.9, I = 28, (2 2 1); 2θ 38.3, I = 21, (1 4 1)

Lattice parameters (Å, degrees): 6.894 10.096 17.163 90.00 90.00 90.00
Space group Pbca (No. 61)
One atom of each set of equivalent atoms:
1 Cs 0.140 0.198 0.079 (multiplicity 8)
2 As 0.233 0.029 0.289 (multiplicity 8)
3 Se 0.013 0.625 0.718 (multiplicity 8)
4 Se 0.139 0.023 0.420 (multiplicity 8)

(10)
Simulated powder diffraction line list of MnSnAu for λ = 1.5418 Å (Cu Kα), from DFT lattice parameters and positions (GGA-PBE).
Neutral-atom scattering factors, no anomalous dispersion.

Principal peaks in the range 2θ = 5–70°, sorted by position:
2θ 24.1, I = 74, (1 1 1); 2θ 39.9, I = 100, (2 2 0); 2θ 47.2, I = 39, (3 1 1); 2θ 57.8, I = 17, (4 0 0); 2θ 63.5, I = 16, (3 3 1)

Lattice parameters (Å, degrees): 6.383 6.383 6.383 90.00 90.00 90.00
Space group F-43m (No. 216)
One atom of each set of equivalent atoms:
1 Mn 0.000 0.000 0.000 (multiplicity 4)
2 Sn 0.000 0.000 0.500 (multiplicity 4)
3 Au 0.250 0.250 0.250 (multiplicity 4)

(11)
Simulated powder diffraction line list of Hf9Re4O3 for λ = 1.5418 Å (Cu Kα), from DFT lattice parameters and positions (GGA-PBE).
Neutral-atom scattering factors, no anomalous dispersion.

Principal peaks in the range 2θ = 5–70°, sorted by position:
2θ 12.1, I = 23, (1 0 0); 2θ 33.8, I = 43, (1 0 3); 2θ 36.8, I = 25, (3 0 0); 2θ 38.3, I = 95, (3 0 1); 2θ 38.8, I = 100, (2 1 2); 2θ 40.1, I = 49, (2 0 3); 2θ 64.4, I = 33, (3 2 3); 2θ 66.3, I = 22, (3 3 0); 2θ 66.8, I = 34, (3 0 5); 2θ 67.6, I = 22, (5 0 2)

Lattice parameters (Å, degrees): 8.4570 8.4570 8.5456 90.00 90.00 120.00
Space group P6_3/mmc (No. 194)
One atom of each set of equivalent atoms:
1 Hf 0.0953 0.5477 0.2500 (multiplicity 6)
2 Hf 0.2017 0.4034 0.5626 (multiplicity 12)
3 Re 0.0000 0.0000 0.0000 (multiplicity 2)
4 Re 0.1102 0.2204 0.2500 (multiplicity 6)
5 O 0.0000 0.5000 0.0000 (multiplicity 6)